The following is a computed X-ray diffraction stick pattern of Cs3V4Te2ClO14. It was derived from a DFT-relaxed cell (GGA+U, Alexandria), using CuKα.

Crystal structure
```
data_Cs3V4Te2ClO14
_chemical_formula_sum 'Cs6 V8 Te4 Cl2 O28'
_cell_length_a 6.9334
_cell_length_b 25.0459
_cell_length_c 5.5464
_cell_angle_alpha 90.00
_cell_angle_beta 90.00
_cell_angle_gamma 90.00
_symmetry_space_group_name_H-M 'P n n m'
_symmetry_Int_Tables_number 58
loop_
_symmetry_equiv_pos_as_xyz
'x,y,z'
'-x,-y,-z'
'-x,-y,z'
'x,y,-z'
'x+1/2,-y+1/2,-z+1/2'
'-x+1/2,y+1/2,z+1/2'
'-x+1/2,y+1/2,-z+1/2'
'x+1/2,-y+1/2,z+1/2'
loop_
_atom_site_label
_atom_site_type_symbol
_atom_site_fract_x
_atom_site_fract_y
_atom_site_fract_z
Cs1 Cs 0.0000 0.0000 0.0000
Cs2 Cs 0.1783 0.2288 0.0000
V1 V 0.0453 0.8836 0.5000
V2 V 0.1508 0.3619 0.5000
Te1 Te 0.0530 0.5855 0.0000
Cl1 Cl 0.0000 0.5000 0.5000
O1 O 0.0141 0.1801 0.5000
O2 O 0.0615 0.6352 0.2566
O3 O 0.1686 0.0719 0.5000
O4 O 0.1876 0.8981 0.2472
O5 O 0.2218 0.2989 0.5000
```

Most intense lines, 2θ from 5° to 70°, sorted by position:
- (1 5 0), 2θ 21.89, I = 32
- (1 3 1), 2θ 23.14, I = 58
- (0 5 1), 2θ 23.94, I = 100
- (1 4 1), 2θ 25.00, I = 23
- (2 2 0), 2θ 26.68, I = 31
- (2 3 0), 2θ 27.87, I = 26
- (1 6 1), 2θ 29.72, I = 24
- (2 2 1), 2θ 31.28, I = 32
- (0 0 2), 2θ 32.28, I = 74
- (0 11 1), 2θ 42.98, I = 27